The following is a computed X-ray diffraction stick pattern of LiVCrP4O14. It was derived from a DFT-relaxed cell (GGA+U, Alexandria), using Cu Ka.
Kinematic intensities with the Lorentz-polarization factor, no thermal factor.

```
data_LiVCrP4O14
_cell_length_a 7.232
_cell_length_b 8.095
_cell_length_c 9.648
_cell_angle_alpha 89.95
_cell_angle_beta 68.89
_cell_angle_gamma 89.93
_symmetry_space_group_name_H-M 'P 1'
_symmetry_Int_Tables_number 1
loop_
_symmetry_equiv_pos_as_xyz
'x,y,z'
loop_
_atom_site_label
_atom_site_type_symbol
_atom_site_fract_x
_atom_site_fract_y
_atom_site_fract_z
Li1 Li 0.000 0.000 0.000
Li2 Li 0.151 0.503 0.499
V1 V 0.109 0.131 0.491
V2 V 0.609 0.145 0.991
Cr1 Cr 0.048 0.633 0.006
Cr2 Cr 0.548 0.644 0.505
P1 P 0.041 0.320 0.809
P2 P 0.117 0.819 0.690
P3 P 0.243 0.916 0.179
P4 P 0.423 0.416 0.814
P5 P 0.530 0.317 0.313
P6 P 0.626 0.815 0.187
P7 P 0.733 0.916 0.683
P8 P 0.914 0.415 0.316
O1 O 0.020 0.450 0.152
O2 O 0.053 0.320 0.379
O3 O 0.071 0.311 0.642
O4 O 0.092 0.819 0.854
O5 O 0.096 0.830 0.124
O6 O 0.142 0.965 0.344
O7 O 0.180 0.993 0.626
O8 O 0.247 0.683 0.595
O9 O 0.249 0.280 0.826
O10 O 0.329 0.561 0.915
O11 O 0.332 0.070 0.084
O12 O 0.391 0.180 0.399
O13 O 0.413 0.785 0.167
O14 O 0.455 0.488 0.376
O15 O 0.521 0.461 0.652
O16 O 0.565 0.315 0.867
O17 O 0.570 0.305 0.145
O18 O 0.587 0.819 0.352
O19 O 0.588 0.822 0.636
O20 O 0.641 0.976 0.845
O21 O 0.698 0.987 0.115
O22 O 0.737 0.283 0.333
O23 O 0.759 0.680 0.098
O24 O 0.830 0.567 0.411
O25 O 0.835 0.064 0.583
O26 O 0.904 0.783 0.677
O27 O 0.905 0.182 0.901
O28 O 0.976 0.493 0.866
```

Largest 10 diffraction maxima, sorted by position, 2θ from 10° to 90°:
17.22 deg, intensity 100, hkl 1 1 1; 22.02 deg, intensity 25, hkl 1 1 -1; 22.61 deg, intensity 43, hkl 0 1 -2; 26.42 deg, intensity 18, hkl 2 0 0; 28.67 deg, intensity 21, hkl 2 -1 0; 29.69 deg, intensity 50, hkl 0 2 -2; 30.00 deg, intensity 23, hkl 1 1 3; 34.85 deg, intensity 11, hkl 2 2 2; 39.26 deg, intensity 12, hkl 3 1 1; 43.88 deg, intensity 11, hkl 1 -3 3